# 1
This entry pairs a crystal structure of NpAl10Rh2 with its simulated powder diffractogram. Radiation: Cu Kα. Structure: a crystal structure in Alexandria, relaxed with GGA-PBE.

Principal peaks in the range 5 to 70 degrees two-theta, in order of rising 2θ:
13.05°, rel. 75, (1 1 0)
16.27°, rel. 69, (1 1 1)
19.82°, rel. 47, (0 2 1)
27.78°, rel. 100, (2 0 2)
28.06°, rel. 61, (2 2 1)
34.20°, rel. 55, (0 2 3)
39.76°, rel. 68, (2 2 3)
39.94°, rel. 60, (4 0 0)
40.26°, rel. 75, (0 4 2)
40.39°, rel. 66, (2 4 0)

```
data_NpAl10Rh2
_chemical_formula_sum 'Np4 Al40 Rh8'
_cell_length_a 9.0257
_cell_length_b 10.2795
_cell_length_c 9.1443
_cell_angle_alpha 90.00
_cell_angle_beta 90.00
_cell_angle_gamma 90.00
_space_group_name_H-M_alt 'C m c m'
_space_group_IT_number 63
_space_group_name_Hall '-C 2c 2'
loop_
_atom_site_label
_atom_site_type_symbol
_atom_site_fract_x
_atom_site_fract_y
_atom_site_fract_z
Np1 Np 0.0000 0.1176 0.2500
Al1 Al 0.0000 0.1576 0.6011
Al2 Al 0.0000 0.3781 0.0576
Al3 Al 0.1488 0.3743 0.7500
Al4 Al 0.2202 0.0000 0.0000
Al5 Al 0.2286 0.3654 0.2500
Rh1 Rh 0.2500 0.2500 0.0000
```

# 2
This entry pairs a crystal structure of Np2Al9Rh3 with its simulated powder diffractogram. Radiation: Cu Kα. Structure: a crystal structure in Alexandria, relaxed with GGA-PBE.

Principal peaks in the range 5 to 70 degrees two-theta, in order of rising 2θ:
13.84°, rel. 40, (1 1 0)
25.23°, rel. 93, (3 1 0)
25.35°, rel. 46, (0 2 1)
30.15°, rel. 100, (3 1 1)
30.25°, rel. 52, (0 2 2)
37.04°, rel. 83, (3 1 2)
37.13°, rel. 45, (0 2 3)
38.07°, rel. 46, (0 0 4)
41.01°, rel. 46, (6 0 -2)
41.24°, rel. 90, (3 3 -1)

```
data_Np2Al9Rh3
_chemical_formula_sum 'Np8 Al36 Rh12'
_cell_length_a 13.2064
_cell_length_b 7.5685
_cell_length_c 10.4352
_cell_angle_alpha 90.00
_cell_angle_beta 115.03
_cell_angle_gamma 90.00
_space_group_name_H-M_alt 'C 1 2/c 1'
_space_group_IT_number 15
loop_
_space_group_symop_operation_xyz
'x,y,z'
'-x,-y,-z'
'-x,y,-z+1/2'
'x,-y,z+1/2'
'x+1/2,y+1/2,z'
'-x+1/2,-y+1/2,-z'
'-x+1/2,y+1/2,-z+1/2'
'x+1/2,-y+1/2,z+1/2'
loop_
_atom_site_label
_atom_site_type_symbol
_atom_site_fract_x
_atom_site_fract_y
_atom_site_fract_z
Np1 Np 0.1682 0.0824 0.2477
Al1 Al 0.0000 0.3690 0.2500
Al2 Al 0.0589 0.0830 0.9235
Al3 Al 0.1019 0.4154 0.0556
Al4 Al 0.1044 0.3166 0.7480
Al5 Al 0.2246 0.4152 0.4278
Rh1 Rh 0.0851 0.2429 0.5011
Rh2 Rh 0.2500 0.2500 0.0000
```

# 3
This entry pairs a crystal structure of Np2AlS5 with its simulated powder diffractogram. Radiation: Cu Kα. Structure: a crystal structure in Alexandria, relaxed with GGA-PBE.

Principal peaks in the range 5 to 70 degrees two-theta, in order of rising 2θ:
13.96°, rel. 31, (0 2 0)
14.30°, rel. 60, (0 0 2)
18.24°, rel. 100, (1 1 0)
25.75°, rel. 92, (0 2 3)
27.04°, rel. 45, (1 3 0)
28.35°, rel. 48, (1 1 3)
30.72°, rel. 35, (1 3 2)
34.04°, rel. 45, (2 0 0)
43.17°, rel. 47, (2 2 3)
45.34°, rel. 59, (1 5 3)

```
data_Np2AlS5
_chemical_formula_sum 'Np8 Al4 S20'
_cell_length_a 5.2676
_cell_length_b 12.6872
_cell_length_c 12.3848
_cell_angle_alpha 90.00
_cell_angle_beta 90.00
_cell_angle_gamma 90.00
_space_group_name_H-M_alt 'C m c m'
_space_group_IT_number 63
_space_group_name_Hall '-C 2c 2'
loop_
_atom_site_label
_atom_site_type_symbol
_atom_site_fract_x
_atom_site_fract_y
_atom_site_fract_z
Np1 Np 0.0000 0.1488 0.0677
Al1 Al 0.0000 0.1895 0.7500
S1 S 0.0000 0.0518 0.6218
S2 S 0.0000 0.2731 0.2500
S3 S 0.0000 0.3084 0.5924
```

# 4
This entry pairs a crystal structure of NpAlSe3 with its simulated powder diffractogram. Radiation: Cu Kα. Structure: a crystal structure in Alexandria, relaxed with GGA-PBE.

Principal peaks in the range 5 to 70 degrees two-theta, in order of rising 2θ:
7.52°, rel. 100, (0 2 0)
15.08°, rel. 26, (0 4 0)
17.34°, rel. 65, (0 3 1)
23.06°, rel. 23, (0 5 1)
26.00°, rel. 52, (1 1 1)
28.17°, rel. 38, (1 3 1)
35.10°, rel. 31, (0 6 2)
35.50°, rel. 24, (1 2 2)
37.96°, rel. 53, (1 4 2)
44.62°, rel. 35, (1 10 0)

```
data_NpAlSe3
_chemical_formula_sum 'Np4 Al4 Se12'
_cell_length_a 4.0364
_cell_length_b 23.5010
_cell_length_c 6.7494
_cell_angle_alpha 90.00
_cell_angle_beta 90.00
_cell_angle_gamma 90.00
_space_group_name_H-M_alt 'A m a 2'
_space_group_IT_number 40
loop_
_space_group_symop_operation_xyz
'x,y,z'
'-x,-y,z'
'-x+1/2,y,z'
'x+1/2,-y,z'
'x,y+1/2,z+1/2'
'-x,-y+1/2,z+1/2'
'-x+1/2,y+1/2,z+1/2'
'x+1/2,-y+1/2,z+1/2'
loop_
_atom_site_label
_atom_site_type_symbol
_atom_site_fract_x
_atom_site_fract_y
_atom_site_fract_z
Np1 Np 0.2500 0.1734 0.0000
Al1 Al 0.2500 0.3760 0.9216
Se1 Se 0.2500 0.0781 0.2844
Se2 Se 0.2500 0.2808 0.7730
Se3 Se 0.2500 0.3827 0.2737
```

# 5
This entry pairs a crystal structure of NpAlTe4 with its simulated powder diffractogram. Radiation: Cu Kα. Structure: a crystal structure in Alexandria, relaxed with GGA-PBE.

Principal peaks in the range 5 to 70 degrees two-theta, in order of rising 2θ:
11.97°, rel. 68, (1 0 0)
20.50°, rel. 73, (1 1 -1)
22.48°, rel. 41, (1 1 1)
26.89°, rel. 80, (2 1 0)
28.63°, rel. 55, (2 1 -1)
30.27°, rel. 40, (1 1 -2)
30.70°, rel. 70, (1 0 2)
34.19°, rel. 100, (2 2 0)
36.07°, rel. 65, (0 2 2)
42.47°, rel. 47, (1 1 -3)

```
data_NpAlTe4
_chemical_formula_sum 'Np2 Al2 Te8'
_cell_length_a 7.4603
_cell_length_b 7.4389
_cell_length_c 6.7628
_cell_angle_alpha 90.00
_cell_angle_beta 97.56
_cell_angle_gamma 90.00
_space_group_name_H-M_alt 'P 1 21/c 1'
_space_group_IT_number 14
loop_
_space_group_symop_operation_xyz
'x,y,z'
'-x,-y,-z'
'-x,y+1/2,-z+1/2'
'x,-y+1/2,z+1/2'
loop_
_atom_site_label
_atom_site_type_symbol
_atom_site_fract_x
_atom_site_fract_y
_atom_site_fract_z
Np1 Np 0.0000 0.0000 0.0000
Al1 Al 0.5000 0.0000 0.5000
Te1 Te 0.1989 0.1829 0.3730
Te2 Te 0.3054 0.7173 0.2610
```

# 6
This entry pairs a crystal structure of Np3Al2Zn4 with its simulated powder diffractogram. Radiation: Cu Kα. Structure: a crystal structure in Alexandria, relaxed with GGA-PBE.

Principal peaks in the range 5 to 70 degrees two-theta, in order of rising 2θ:
21.47°, rel. 80, (2 0 0)
37.65°, rel. 78, (3 3 0)
38.78°, rel. 100, (2 0 2)
43.75°, rel. 13, (4 0 0)
50.15°, rel. 9, (3 3 2)
55.16°, rel. 36, (4 0 2)
59.06°, rel. 11, (5 3 0)
66.68°, rel. 5, (0 0 4)
67.96°, rel. 14, (6 0 0)
68.71°, rel. 38, (5 3 2)

```
data_Np3Al2Zn4
_chemical_formula_sum 'Np12 Al8 Zn16'
_cell_length_a 8.2743
_cell_length_b 14.3393
_cell_length_c 5.6111
_cell_angle_alpha 90.00
_cell_angle_beta 90.00
_cell_angle_gamma 90.00
_space_group_name_H-M_alt 'C c c m'
_space_group_IT_number 66
_space_group_name_Hall '-C 2 2c'
loop_
_atom_site_label
_atom_site_type_symbol
_atom_site_fract_x
_atom_site_fract_y
_atom_site_fract_z
Np1 Np 0.0000 0.0000 0.2500
Np2 Np 0.0000 0.3327 0.2500
Al1 Al 0.1666 0.1658 0.0000
Zn1 Zn 0.1655 0.5004 0.0000
Zn2 Zn 0.1677 0.1661 0.5000
```